HoSi7Rh3: simulated PXRD pattern (λ = 1.5418 Å (Cu Kα)), based on a crystal structure in Alexandria, relaxed with GGA-PBE.
Peak positions follow from Bragg's law for the DFT cell and can differ from measured ones.

Peak list (6 most intense, 2θ from 5° to 70°, sorted by position)
| 2θ (°) | d (Å) | intensity |
| --- | --- | --- |
| 26.96 | 3.307 | 1000 |
| 35.81 | 2.507 | 711 |
| 40.42 | 2.232 | 396 |
| 41.02 | 2.200 | 624 |
| 47.40 | 1.918 | 450 |
| 49.78 | 1.832 | 363 |

Crystal structure
Unit cell a=7.6215 b=7.6215 c=19.9772 alpha=90.00 beta=90.00 gamma=120.00
Space group R-3c (No. 167, hexagonal axes)
Symmetry-distinct sites (fractional):
Ho  0.0000  0.0000  0.0000 x6
Si  0.0000  0.0000  0.2500 x6
Si  0.0118  0.2027  0.1370 x36
Rh  0.0000  0.3199  0.2500 x18